Simulated powder diffractogram of PuAl11 for copper Kα, from a structure optimized by DFT (GGA-PBE).
Intensities are scaled so that the largest is 100.

Crystal structure
```
data_PuAl11
_chemical_formula_sum 'Pu4 Al44'
_cell_length_a 10.9712
_cell_length_b 10.9712
_cell_length_c 7.1693
_cell_angle_alpha 90.00
_cell_angle_beta 90.00
_cell_angle_gamma 90.00
_symmetry_space_group_name_H-M 'I 41/a m d'
_symmetry_Int_Tables_number 141
loop_
_symmetry_equiv_pos_as_xyz
'x,y,z'
'-x,-y,-z'
'-y+1/4,x+3/4,z+1/4'
'y+1/4,-x+3/4,-z+1/4'
'-x+1/2,-y,z+1/2'
'x+1/2,y,-z+1/2'
'y+1/4,-x+1/4,z+3/4'
'-y+1/4,x+1/4,-z+3/4'
'x,-y,-z'
'-x,y,z'
'-y+1/4,-x+1/4,-z+3/4'
'y+1/4,x+1/4,z+3/4'
'-x+1/2,y,-z+1/2'
'x+1/2,-y,z+1/2'
'y+1/4,x+3/4,-z+1/4'
'-y+1/4,-x+3/4,z+1/4'
'x+1/2,y+1/2,z+1/2'
'-x+1/2,-y+1/2,-z+1/2'
'-y+3/4,x+1/4,z+3/4'
'y+3/4,-x+1/4,-z+3/4'
'-x,-y+1/2,z'
'x,y+1/2,-z'
'y+3/4,-x+3/4,z+1/4'
'-y+3/4,x+3/4,-z+1/4'
'x+1/2,-y+1/2,-z+1/2'
'-x+1/2,y+1/2,z+1/2'
'-y+3/4,-x+3/4,-z+1/4'
'y+3/4,x+3/4,z+1/4'
'-x,y+1/2,-z'
'x,-y+1/2,z'
'y+3/4,x+1/4,-z+3/4'
'-y+3/4,-x+1/4,z+3/4'
loop_
_atom_site_label
_atom_site_fract_x
_atom_site_fract_y
_atom_site_fract_z
Pu1 0.0000 0.2500 0.3750
Al1 0.0000 0.0000 0.0000
Al2 0.0000 0.2500 0.8750
Al3 0.1214 0.0443 0.6772
```

Most intense lines, 5° ≤ 2θ ≤ 70°, low angle first:
- 14.76°, rel. 49
- 16.16°, rel. 37
- 21.95°, rel. 53
- 27.40°, rel. 60
- 31.95°, rel. 44
- 36.02°, rel. 100
- 36.63°, rel. 46
- 55.12°, rel. 26